(1)
# SrMg2Ni
Calculated PXRD pattern, Cu Ka. Input: a DFT-relaxed cell (PBE, OQMD).

Crystal structure
a = 7.1949 Å, b = 7.1949 Å, c = 7.1949 Å
α = 90.00°, β = 90.00°, γ = 90.00°
Space group F-43m (No. 216)
One atom of each set of equivalent atoms:
Sr 0.0000 0.0000 0.0000 [4 per cell]
Mg 0.0000 0.0000 0.5000 [4 per cell]
Mg 0.2500 0.2500 0.7500 [4 per cell]
Ni 0.2500 0.2500 0.2500 [4 per cell]

The 10 most intense peaks (15 to 90 degrees two-theta), sorted by position:
hkl 1 1 1, 2θ 21.39, rel. 31
hkl 2 2 0, 2θ 35.28, rel. 100
hkl 3 1 1, 2θ 41.63, rel. 16
hkl 4 0 0, 2θ 50.76, rel. 17
hkl 3 3 1, 2θ 55.69, rel. 7
hkl 4 2 2, 2θ 63.33, rel. 34
hkl 5 1 1, 2θ 67.66, rel. 5
hkl 4 4 0, 2θ 74.62, rel. 10
hkl 5 3 1, 2θ 78.68, rel. 5
hkl 6 2 0, 2θ 85.32, rel. 14

---

(2)
# Mg5Tc2Ni2
Calculated PXRD pattern, Cu Ka. Input: a DFT-relaxed cell (PBE, OQMD).

Crystal structure
a = 2.8241 Å, b = 2.8241 Å, c = 63.5842 Å
α = 90.00°, β = 90.00°, γ = 120.00°
Space group R3m (No. 160, hexagonal axes)
One atom of each set of equivalent atoms:
Mg 0.0000 0.0000 0.0000 [3 per cell]
Mg 0.0000 0.0000 0.1125 [3 per cell]
Mg 0.0000 0.0000 0.5879 [3 per cell]
Mg 0.0000 0.0000 0.7376 [3 per cell]
Mg 0.0000 0.0000 0.8571 [3 per cell]
Tc 0.0000 0.0000 0.6304 [3 per cell]
Tc 0.0000 0.0000 0.8151 [3 per cell]
Ni 0.0000 0.0000 0.0391 [3 per cell]
Ni 0.0000 0.0000 0.2224 [3 per cell]

The 10 most intense peaks (15 to 90 degrees two-theta), sorted by position:
hkl 0 0 12, 2θ 16.73, rel. 97
hkl 0 0 15, 2θ 20.96, rel. 29
hkl 1 0 1, 2θ 36.81, rel. 42
hkl 0 1 5, 2θ 37.44, rel. 100
hkl 0 0 27, 2θ 38.22, rel. 61
hkl 1 0 10, 2θ 39.48, rel. 73
hkl 0 1 17, 2θ 44.25, rel. 69
hkl 1 0 22, 2θ 48.78, rel. 61
hkl 1 1 0, 2θ 66.18, rel. 38
hkl 1 1 27, 2θ 79.07, rel. 40

---

(3)
# MgZnNiTe3
Calculated PXRD pattern, Cu Ka. Input: a DFT-relaxed cell (PBE, OQMD).

Crystal structure
a = 3.9466 Å, b = 13.7617 Å, c = 10.3066 Å
α = 90.00°, β = 90.00°, γ = 90.00°
Space group Cmcm (No. 63)
One atom of each set of equivalent atoms:
Mg 0.0000 0.2256 0.2500 [4 per cell]
Zn 0.0000 0.4759 0.7500 [4 per cell]
Ni 0.0000 0.0000 0.0000 [4 per cell]
Te 0.0000 0.1015 0.7500 [4 per cell]
Te 0.0000 0.3652 0.5460 [8 per cell]

The 10 most intense peaks (15 to 90 degrees two-theta), sorted by position:
hkl 1 1 1, 2θ 25.01, rel. 23
hkl 0 4 0, 2θ 25.90, rel. 17
hkl 0 2 3, 2θ 29.05, rel. 49
hkl 1 3 1, 2θ 31.13, rel. 47
hkl 1 3 2, 2θ 34.67, rel. 100
hkl 0 0 4, 2θ 34.82, rel. 29
hkl 1 5 2, 2θ 43.78, rel. 42
hkl 2 0 0, 2θ 45.99, rel. 30
hkl 0 6 3, 2θ 47.67, rel. 18
hkl 1 3 5, 2θ 54.03, rel. 26

---

(4)
# Mg2Ni2W3
Calculated PXRD pattern, Cu Ka. Input: a DFT-relaxed cell (PBE, OQMD).

Crystal structure
a = 4.3481 Å, b = 4.3481 Å, c = 19.3520 Å
α = 90.00°, β = 90.00°, γ = 120.00°
Space group R3m (No. 160, hexagonal axes)
One atom of each set of equivalent atoms:
Mg 0.0000 0.0000 0.0000 [3 per cell]
Mg 0.0000 0.0000 0.4184 [3 per cell]
Ni 0.0000 0.0000 0.1400 [3 per cell]
Ni 0.0000 0.0000 0.7021 [3 per cell]
W 0.0000 0.0000 0.2684 [3 per cell]
W 0.0000 0.0000 0.5631 [3 per cell]
W 0.0000 0.0000 0.8450 [3 per cell]

The 10 most intense peaks (15 to 90 degrees two-theta), sorted by position:
hkl 0 1 2, 2θ 25.38, rel. 14
hkl 1 0 4, 2θ 30.07, rel. 34
hkl 1 0 7, 2θ 40.48, rel. 100
hkl 1 1 0, 2θ 41.54, rel. 97
hkl 1 1 3, 2θ 43.95, rel. 34
hkl 1 0 10, 2θ 53.22, rel. 12
hkl 0 2 7, 2θ 59.39, rel. 32
hkl 0 1 14, 2θ 72.90, rel. 15
hkl 2 1 7, 2θ 75.07, rel. 32
hkl 3 0 0, 2θ 75.79, rel. 16

---

(5)
# Mg2Zn2Ni
Calculated PXRD pattern, Cu Ka. Input: a DFT-relaxed cell (PBE, OQMD).

Crystal structure
a = 5.6094 Å, b = 11.7832 Å, c = 5.0101 Å
α = 90.00°, β = 90.00°, γ = 90.00°
Space group Ibam (No. 72)
One atom of each set of equivalent atoms:
Mg 0.1809 0.1744 0.0000 [8 per cell]
Zn 0.1633 0.4191 0.0000 [8 per cell]
Ni 0.0000 0.0000 0.2500 [4 per cell]

The 10 most intense peaks (15 to 90 degrees two-theta), sorted by position:
hkl 0 2 0, 2θ 15.04, rel. 100
hkl 1 2 1, 2θ 28.28, rel. 32
hkl 2 1 1, 2θ 37.53, rel. 32
hkl 1 4 1, 2θ 38.93, rel. 73
hkl 1 1 2, 2θ 40.16, rel. 41
hkl 1 5 0, 2θ 41.57, rel. 26
hkl 2 3 1, 2θ 43.57, rel. 33
hkl 2 0 2, 2θ 48.74, rel. 21
hkl 3 1 0, 2θ 49.35, rel. 21
hkl 3 5 2, 2θ 75.13, rel. 19

---

(6)
# MgNp
Calculated PXRD pattern, Cu Ka. Input: a DFT-relaxed cell (PBE, OQMD).

Crystal structure
a = 2.9171 Å, b = 2.9171 Å, c = 5.7930 Å
α = 90.00°, β = 90.00°, γ = 120.00°
Space group P-6m2 (No. 187)
One atom of each set of equivalent atoms:
Mg 0.0000 0.0000 0.0000 [1 per cell]
Np 0.3333 0.6667 0.5000 [1 per cell]

The 10 most intense peaks (15 to 90 degrees two-theta), sorted by position:
hkl 0 0 1, 2θ 15.29, rel. 100
hkl 0 0 2, 2θ 30.87, rel. 31
hkl 1 0 0, 2θ 35.54, rel. 46
hkl 1 0 1, 2θ 38.89, rel. 91
hkl 1 0 2, 2θ 47.77, rel. 41
hkl 1 0 3, 2θ 60.33, rel. 26
hkl 1 1 0, 2θ 63.82, rel. 12
hkl 1 1 1, 2θ 66.06, rel. 14
hkl 1 1 2, 2θ 72.57, rel. 17
hkl 2 0 1, 2θ 77.32, rel. 13